# Nd5Sm8Sn
Simulated powder diffraction line list, λ = 1.5418 Å (Cu Kα). Input: a cell relaxed with GGA-PBE.

Principal peaks in the range 2θ from 10° to 90°, low angle first:
| Position (°2θ) | I (rel.) | h k l |
| --- | --- | --- |
| 26.2 | 31 | 2 2 0 |
| 27.0 | 37 | 2 0 -3 |
| 27.5 | 100 | 3 1 -3 |
| 31.0 | 76 | 1 3 0 |
| 31.4 | 27 | 4 2 -2 |
| 32.5 | 90 | 5 1 -2 |
| 33.7 | 87 | 2 2 1 |
| 35.6 | 23 | 3 3 -2 |
| 36.9 | 36 | 3 1 1 |
| 53.5 | 20 | 1 3 3 |

Crystal structure
a b c (Å): 14.737 8.996 10.418
angles (deg): 90.00 134.90 90.00
Space group C2 (No. 5)
Inequivalent atoms, fractional coordinates:
1 Nd 0.000 0.000 0.000
2 Nd 0.065 0.362 0.911
3 Nd 0.153 0.638 0.218
4 Sm 0.020 0.067 0.679
5 Sm 0.158 0.432 0.638
6 Sm 0.160 0.710 0.909
7 Sm 0.250 0.289 0.410
8 Sn 0.000 0.749 0.500

***

# LaSm2Y4
Simulated powder diffraction line list, λ = 1.5418 Å (Cu Kα). Input: a cell relaxed with GGA-PBE.

Principal peaks in the range 2θ from 10° to 90°, low angle first:
| Position (°2θ) | I (rel.) | h k l |
| --- | --- | --- |
| 12.5 | 21 | 0 0 9 |
| 28.9 | 43 | 0 1 2 |
| 29.4 | 100 | 0 0 21 |
| 30.4 | 27 | 1 0 7 |
| 30.9 | 43 | 0 1 8 |
| 34.2 | 62 | 1 0 13 |
| 35.0 | 40 | 0 1 14 |
| 37.6 | 26 | 0 1 17 |
| 51.0 | 43 | 1 1 0 |
| 59.9 | 51 | 1 1 21 |

Crystal structure
a b c (Å): 3.5835 3.5835 63.8574
angles (deg): 90.00 90.00 120.00
Space group R-3m (No. 166, hexagonal axes)
Inequivalent atoms, fractional coordinates:
1 La 0.0000 0.0000 0.0000
2 Sm 0.0000 0.0000 0.2339
3 Y 0.0000 0.0000 0.1438
4 Y 0.0000 0.0000 0.2876

***

# CsRb4Au3
Simulated powder diffraction line list, λ = 1.5418 Å (Cu Kα). Input: a cell relaxed with GGA-PBE.

Principal peaks in the range 2θ from 10° to 90°, low angle first:
| Position (°2θ) | I (rel.) | h k l |
| --- | --- | --- |
| 10.7 | 53 | 2 0 0 |
| 14.7 | 52 | 2 0 -2 |
| 17.3 | 55 | 1 1 -2 |
| 23.5 | 82 | 2 2 -1 |
| 29.0 | 95 | 5 1 0 |
| 29.8 | 80 | 4 2 -2 |
| 30.2 | 100 | 3 1 -4 |
| 35.8 | 43 | 2 0 4 |
| 36.4 | 83 | 1 3 2 |
| 48.0 | 50 | 4 4 -2 |

Crystal structure
a b c (Å): 17.862 8.491 12.830
angles (deg): 90.00 112.21 90.00
Space group Cc (No. 9)
Inequivalent atoms, fractional coordinates:
1 Cs 0.000 0.156 0.000
2 Rb 0.108 0.345 0.706
3 Rb 0.204 0.180 0.409
4 Rb 0.282 0.336 0.092
5 Rb 0.391 0.149 0.804
6 Au 0.090 0.491 0.445
7 Au 0.196 0.003 0.658
8 Au 0.303 0.495 0.850

***

# TeF
Simulated powder diffraction line list, λ = 1.5418 Å (Cu Kα). Input: a cell relaxed with GGA-PBE.

Principal peaks in the range 2θ from 10° to 90°, low angle first:
| Position (°2θ) | I (rel.) | h k l |
| --- | --- | --- |
| 11.0 | 100 | 1 1 0 |
| 22.0 | 84 | 2 2 0 |
| 30.0 | 24 | 1 0 1 |
| 33.3 | 62 | 3 3 0 |
| 34.0 | 76 | 2 1 1 |
| 37.6 | 62 | 3 0 1 |
| 40.3 | 27 | 5 1 0 |
| 49.7 | 20 | 4 3 1 |
| 52.4 | 35 | 2 5 1 |
| 62.4 | 28 | 3 6 1 |

Crystal structure
a b c (Å): 11.410 11.410 3.082
angles (deg): 90.00 90.00 90.00
Space group I4/m (No. 87)
Inequivalent atoms, fractional coordinates:
1 Te 0.005 0.315 0.000
2 F 0.114 0.813 0.000

***

# AlCuSi
Simulated powder diffraction line list, λ = 1.5418 Å (Cu Kα). Input: a cell relaxed with GGA-PBE.

Principal peaks in the range 2θ from 10° to 90°, low angle first:
| Position (°2θ) | I (rel.) | h k l |
| --- | --- | --- |
| 13.0 | 52 | 0 2 0 |
| 25.5 | 44 | 0 0 1 |
| 28.7 | 58 | 0 2 1 |
| 29.0 | 29 | 1 3 0 |
| 39.0 | 23 | 1 3 1 |
| 39.4 | 30 | 1 5 0 |
| 43.4 | 35 | 2 0 0 |
| 47.5 | 100 | 1 5 1 |
| 52.3 | 20 | 0 0 2 |
| 82.7 | 20 | 3 5 1 |

Crystal structure
a b c (Å): 4.165 13.667 3.498
angles (deg): 90.00 90.00 90.00
Space group Pmmn (No. 59, origin choice 2)
Inequivalent atoms, fractional coordinates:
1 Al 0.250 0.146 0.002
2 Cu 0.250 0.548 0.998
3 Si 0.250 0.665 0.499

***

# PmYCo
Simulated powder diffraction line list, λ = 1.5418 Å (Cu Kα). Input: a cell relaxed with GGA-PBE.

Principal peaks in the range 2θ from 10° to 90°, low angle first:
| Position (°2θ) | I (rel.) | h k l |
| --- | --- | --- |
| 26.3 | 37 | 1 1 -1 |
| 28.3 | 41 | 2 0 1 |
| 29.6 | 41 | 4 0 -2 |
| 32.5 | 100 | 3 1 -1 |
| 33.3 | 55 | 1 1 -2 |
| 33.5 | 59 | 2 0 -3 |
| 36.3 | 68 | 3 1 0 |
| 41.5 | 43 | 1 1 2 |
| 48.9 | 28 | 0 2 0 |
| 58.1 | 28 | 7 1 -3 |

Crystal structure
a b c (Å): 12.312 3.728 8.165
angles (deg): 90.00 126.46 90.00
Space group C2/m (No. 12)
Inequivalent atoms, fractional coordinates:
1 Pm 0.175 0.000 0.088
2 Y 0.078 0.500 0.387
3 Co 0.115 0.000 0.691

***

# Sr3LiCd3
Simulated powder diffraction line list, λ = 1.5418 Å (Cu Kα). Input: a cell relaxed with GGA-PBE.

Principal peaks in the range 2θ from 10° to 90°, low angle first:
| Position (°2θ) | I (rel.) | h k l |
| --- | --- | --- |
| 24.1 | 27 | 1 1 2 |
| 27.9 | 27 | 1 1 3 |
| 28.1 | 100 | 1 1 -4 |
| 28.4 | 65 | 3 1 -1 |
| 29.2 | 32 | 4 0 -2 |
| 32.1 | 31 | 3 1 -4 |
| 34.8 | 83 | 3 1 2 |
| 36.2 | 49 | 0 2 0 |
| 55.8 | 25 | 7 1 -3 |
| 60.3 | 26 | 1 3 -4 |

Crystal structure
a b c (Å): 12.239 4.961 16.513
angles (deg): 90.00 110.72 90.00
Space group C2/m (No. 12)
Inequivalent atoms, fractional coordinates:
1 Sr 0.030 0.000 0.383
2 Sr 0.106 0.000 0.922
3 Sr 0.250 0.000 0.230
4 Li 0.241 0.500 0.408
5 Cd 0.044 0.500 0.238
6 Cd 0.108 0.500 0.078
7 Cd 0.134 0.500 0.546

***

# KPrSi2O6
Simulated powder diffraction line list, λ = 1.5418 Å (Cu Kα). Input: a cell relaxed with GGA-PBE.

Principal peaks in the range 2θ from 10° to 90°, low angle first:
| Position (°2θ) | I (rel.) | h k l |
| --- | --- | --- |
| 12.1 | 59 | 1 1 0 |
| 17.1 | 31 | 2 0 0 |
| 19.3 | 32 | 1 1 -1 |
| 23.9 | 21 | 0 2 1 |
| 27.2 | 31 | 3 1 0 |
| 27.6 | 100 | 2 2 -1 |
| 31.4 | 59 | 2 2 1 |
| 33.7 | 33 | 0 0 2 |
| 38.7 | 19 | 2 4 0 |
| 39.7 | 26 | 4 2 -1 |

Crystal structure
a b c (Å): 10.548 10.405 5.411
angles (deg): 90.00 100.92 90.00
Space group C2/c (No. 15)
Inequivalent atoms, fractional coordinates:
1 K 0.000 0.164 0.250
2 Pr 0.000 0.377 0.750
3 Si 0.220 0.081 0.776
4 O 0.122 0.424 0.162
5 O 0.149 0.218 0.722
6 O 0.168 0.012 0.021